1.
Starting from a structure optimized by DFT (PBE), the powder X-ray diffraction pattern of La3Sm2Mg was calculated for CuKα.

Crystal structure
Lattice parameters (Å, degrees): 7.2325 7.2325 8.9085 90.00 90.00 120.00
Space group P-3m1 (No. 164)
Inequivalent atoms, fractional coordinates:
La (0.1669, 0.3338, 0.1689) x6
Sm (0.0000, 0.0000, 0.5000) x1
Sm (0.0000, 0.5000, 0.5000) x3
Mg (0.3333, 0.6667, 0.8277) x2

Principal peaks in the range 2θ from 15° to 90°, low angle first:
2theta  I_rel
30.09  334
30.25  1000
35.03  680
50.27  241
50.47  237
59.92  424



2.
Starting from a structure optimized by DFT (PBE), the powder X-ray diffraction pattern of La4Sm3Mg was calculated for CuKα.

Crystal structure
Lattice parameters (Å, degrees): 10.428 7.176 7.251 90.00 90.00 90.00
Space group Pmn2_1 (No. 31)
Inequivalent atoms, fractional coordinates:
La (0.000, 0.000, 0.000) x2
La (0.000, 0.500, 0.499) x2
La (0.249, 0.251, 0.749) x4
Sm (0.000, 0.000, 0.499) x2
Sm (0.250, 0.256, 0.249) x4
Mg (0.000, 0.500, 0.000) x2

Principal peaks in the range 2θ from 15° to 90°, low angle first:
2theta  I_rel
30.02  1000
30.24  980
34.40  348
35.19  654
50.03  481
59.85  280



3.
Starting from a structure optimized by DFT (PBE), the powder X-ray diffraction pattern of LaSm14Mg was calculated for CuKα.

Crystal structure
Lattice parameters (Å, degrees): 10.245 10.193 10.192 90.00 90.00 90.00
Space group Amm2 (No. 38)
Inequivalent atoms, fractional coordinates:
La (0.000, 0.000, 0.000) x2
Sm (0.000, 0.249, 0.750) x4
Sm (0.248, 0.000, 0.251) x4
Sm (0.249, 0.000, 0.749) x4
Sm (0.249, 0.249, 0.500) x8
Sm (0.500, 0.000, 0.000) x2
Sm (0.500, 0.000, 0.500) x2
Sm (0.500, 0.250, 0.250) x4
Mg (0.000, 0.000, 0.500) x2

Principal peaks in the range 2θ from 15° to 90°, low angle first:
2theta  I_rel
30.33  1000
35.04  170
35.22  336
50.53  241
59.95  144
60.20  285



4.
Starting from a structure optimized by DFT (PBE), the powder X-ray diffraction pattern of La3Sm7Mg was calculated for CuKα.

Crystal structure
Lattice parameters (Å, degrees): 12.754 11.447 5.958 90.00 117.75 90.00
Space group C2/m (No. 12)
Inequivalent atoms, fractional coordinates:
La (0.000, 0.000, 0.000) x2
La (0.000, 0.213, 0.500) x4
Sm (0.000, 0.500, 0.500) x2
Sm (0.192, 0.209, 0.192) x8
Sm (0.218, 0.000, 0.718) x4
Mg (0.000, 0.500, 0.000) x2

Principal peaks in the range 2θ from 15° to 90°, low angle first:
2theta  I_rel
23.06  278
29.99  615
31.26  295
32.05  1000
32.19  735
54.59  300



5.
Starting from a structure optimized by DFT (PBE), the powder X-ray diffraction pattern of La2Sm7Mg2 was calculated for CuKα.

Crystal structure
Lattice parameters (Å, degrees): 3.808 11.330 17.227 90.00 90.00 90.00
Space group Immm (No. 71)
Inequivalent atoms, fractional coordinates:
La (0.000, 0.189, 0.000) x4
Sm (0.000, 0.000, 0.185) x4
Sm (0.000, 0.000, 0.500) x2
Sm (0.000, 0.230, 0.335) x8
Mg (0.000, 0.500, 0.158) x4

Principal peaks in the range 2θ from 15° to 90°, low angle first:
2theta  I_rel
24.66  199
28.28  308
31.15  284
31.59  176
32.34  1000
56.18  159



6.
Starting from a structure optimized by DFT (PBE), the powder X-ray diffraction pattern of La14SmMg was calculated for CuKα.

Crystal structure
Lattice parameters (Å, degrees): 10.508 10.409 10.404 90.00 90.00 90.00
Space group Amm2 (No. 38)
Inequivalent atoms, fractional coordinates:
La (0.000, 0.000, 0.000) x2
La (0.000, 0.000, 0.500) x2
La (0.000, 0.250, 0.250) x4
La (0.253, 0.000, 0.253) x4
La (0.253, 0.247, 0.500) x8
La (0.254, 0.000, 0.747) x4
La (0.500, 0.249, 0.250) x4
Sm (0.500, 0.000, 0.000) x2
Mg (0.500, 0.000, 0.500) x2

Principal peaks in the range 2θ from 15° to 90°, low angle first:
2theta  I_rel
29.64  1000
34.13  172
34.47  335
49.30  242
58.35  145
58.81  285



7.
Starting from a structure optimized by DFT (PBE), the powder X-ray diffraction pattern of La5Sm6Mg was calculated for CuKα.

Crystal structure
Lattice parameters (Å, degrees): 6.303 10.924 12.095 90.00 100.12 90.00
Space group C2/m (No. 12)
Inequivalent atoms, fractional coordinates:
La (0.000, 0.000, 0.000) x2
La (0.000, 0.167, 0.500) x4
La (0.000, 0.332, 0.000) x4
Sm (0.247, 0.335, 0.748) x8
Sm (0.248, 0.500, 0.251) x4
Mg (0.000, 0.500, 0.500) x2

Principal peaks in the range 2θ from 15° to 90°, low angle first:
2theta  I_rel
30.05  1000
34.84  506
50.07  241
50.13  120
59.50  322
81.49  116



8.
Starting from a structure optimized by DFT (PBE), the powder X-ray diffraction pattern of La8Sm3Mg2 was calculated for CuKα.

Crystal structure
Lattice parameters (Å, degrees): 6.868 8.796 8.928 64.45 67.80 77.71
Space group P-1 (No. 2)
Inequivalent atoms, fractional coordinates:
La (0.093, 0.020, 0.292) x2
La (0.149, 0.212, 0.821) x2
La (0.184, 0.391, 0.347) x2
La (0.242, 0.590, 0.850) x2
Sm (0.431, 0.815, 0.998) x2
Sm (0.500, 0.000, 0.500) x1
Mg (0.371, 0.660, 0.435) x2

Principal peaks in the range 2θ from 15° to 90°, low angle first:
2theta  I_rel
29.17  234
29.76  410
30.25  231
30.74  602
31.02  991
31.21  1000